1.
Structure and simulated powder XRD pattern of YBiPd4 (a cell relaxed with PBE; Cu Kα (λ = 1.5418 Å)).

Principal peaks in the range 2θ = 15–90°, by angle:
2θ 20.26, I = 10.0
2θ 35.74, I = 100.0
2θ 39.07, I = 78.0
2θ 39.63, I = 76.0
2θ 50.53, I = 18.5
2θ 52.34, I = 16.7
2θ 66.06, I = 33.1
2θ 67.21, I = 31.2
2θ 73.66, I = 23.8
2θ 75.72, I = 11.1

Crystal structure
```
YBiPd4
1.0
5.0253 0.0000 0.0000
0.0000 8.9828 0.0000
-0.1645 0.0000 5.0262
Y Bi Pd
2 2 8
Direct
0.0000 0.0000 0.0000
0.5000 0.5000 0.0000
0.0000 0.5000 0.5000
0.5000 0.0000 0.5000
0.0000 0.1694 0.5000
0.0000 0.3326 0.0000
0.0000 0.6674 0.0000
0.0000 0.8306 0.5000
0.5000 0.1674 0.0000
0.5000 0.3306 0.5000
0.5000 0.6694 0.5000
0.5000 0.8326 0.0000
```

---

2.
Structure and simulated powder XRD pattern of Ca2ScAl3Pt4 (a cell relaxed with PBE; Cu Kα (λ = 1.5418 Å)).

Principal peaks in the range 2θ = 15–90°, by angle:
2θ 16.67, I = 28.1
2θ 22.20, I = 46.8
2θ 25.12, I = 47.7
2θ 26.58, I = 52.7
2θ 30.43, I = 82.2
2θ 33.83, I = 100.0
2θ 41.79, I = 67.5
2θ 45.21, I = 76.9
2θ 49.39, I = 32.5
2θ 78.71, I = 27.4

Crystal structure
```
Ca2ScAl3Pt4
1.0
4.3229 0.0000 0.0000
0.0000 4.3229 0.0000
0.0000 0.0000 10.6337
Ca Sc Al Pt
2 1 3 4
Direct
0.0000 0.5000 0.2328
0.5000 0.0000 0.7672
0.0000 0.0000 0.5000
0.0000 0.5000 0.8798
0.5000 0.0000 0.1202
0.5000 0.5000 0.5000
0.0000 0.0000 0.0000
0.0000 0.5000 0.6446
0.5000 0.0000 0.3554
0.5000 0.5000 0.0000
```

---

3.
Structure and simulated powder XRD pattern of Pm3MnNi8 (a cell relaxed with PBE; Cu Kα (λ = 1.5418 Å)).

Principal peaks in the range 2θ = 15–90°, by angle:
2θ 32.49, I = 7.1
2θ 35.46, I = 33.3
2θ 35.59, I = 36.0
2θ 41.82, I = 34.0
2θ 41.96, I = 100.0
2θ 43.94, I = 23.1
2θ 63.87, I = 18.3
2θ 68.23, I = 29.7
2θ 75.04, I = 13.0
2θ 75.37, I = 15.6

Crystal structure
```
Pm3MnNi8
1.0
2.5222 1.4562 8.2842
-2.5222 1.4562 8.2842
0.0000 -2.9124 8.2842
Pm Mn Ni
3 1 8
Direct
0.0000 0.0000 0.0000
0.1282 0.1282 0.1282
0.6146 0.6146 0.6146
0.4921 0.4921 0.4921
0.0576 0.0576 0.5604
0.0576 0.5604 0.0576
0.0668 0.5611 0.5611
0.3106 0.3106 0.3106
0.5604 0.0576 0.0576
0.5611 0.0668 0.5611
0.5611 0.5611 0.0668
0.8113 0.8113 0.8113
```

---

4.
Structure and simulated powder XRD pattern of BaLi9Cd3 (a cell relaxed with PBE; Cu Kα (λ = 1.5418 Å)).

Principal peaks in the range 2θ = 15–90°, by angle:
2θ 17.51, I = 100.0
2θ 24.46, I = 47.8
2θ 24.64, I = 25.8
2θ 25.33, I = 43.5
2θ 25.58, I = 24.0
2θ 27.60, I = 19.7
2θ 30.99, I = 20.0
2θ 35.39, I = 41.5
2θ 35.52, I = 55.4
2θ 36.13, I = 39.9

Crystal structure
```
BaLi9Cd3
1.0
2.8937 -7.2773 0.0000
2.8937 7.2773 0.0000
-2.6670 0.0000 7.0330
Ba Li Cd
1 9 3
Direct
0.0000 0.0000 0.0000
0.0212 0.6599 0.6477
0.2655 0.5023 0.7657
0.3401 0.9788 0.3523
0.4977 0.7345 0.2343
0.5000 0.5000 0.5000
0.5023 0.2655 0.7657
0.6599 0.0212 0.6477
0.7345 0.4977 0.2343
0.9788 0.3401 0.3523
0.0000 0.0000 0.5000
0.0000 0.5000 0.0000
0.5000 0.0000 0.0000
```

---

5.
Structure and simulated powder XRD pattern of Ce5Er2Sb4 (a cell relaxed with PBE; Cu Kα (λ = 1.5418 Å)).

Principal peaks in the range 2θ = 15–90°, by angle:
2θ 28.15, I = 88.9
2θ 30.37, I = 100.0
2θ 31.19, I = 87.8
2θ 32.27, I = 21.2
2θ 35.28, I = 49.8
2θ 37.66, I = 48.1
2θ 38.25, I = 55.6
2θ 39.95, I = 33.3
2θ 43.82, I = 25.0
2θ 44.82, I = 22.5

Crystal structure
```
Ce5Er2Sb4
1.0
9.1761 -1.6309 0.0000
9.1761 1.6309 0.0000
-7.4362 0.0000 11.7708
Ce Er Sb
5 2 4
Direct
0.0000 0.0000 0.0000
0.1761 0.1761 0.9872
0.4722 0.4722 0.7787
0.5278 0.5278 0.2213
0.8239 0.8239 0.0128
0.3638 0.3638 0.2711
0.6362 0.6362 0.7289
0.1844 0.1844 0.2313
0.4319 0.4319 0.5264
0.5681 0.5681 0.4736
0.8156 0.8156 0.7687
```

---

6.
Structure and simulated powder XRD pattern of Sc2AlGe2Ru5 (a cell relaxed with PBE; Cu Kα (λ = 1.5418 Å)).

Principal peaks in the range 2θ = 15–90°, by angle:
2θ 20.26, I = 35.3
2θ 27.24, I = 14.8
2θ 37.84, I = 54.3
2θ 39.00, I = 28.0
2θ 40.06, I = 100.0
2θ 43.26, I = 46.0
2θ 46.29, I = 23.1
2θ 47.26, I = 23.6
2θ 56.19, I = 18.6
2θ 67.59, I = 19.9

Crystal structure
```
Sc2AlGe2Ru5
1.0
9.7992 0.0000 0.0000
0.0000 9.7992 0.0000
0.0000 0.0000 3.2742
Sc Al Ge Ru
4 2 4 10
Direct
0.1700 0.3300 0.0000
0.3300 0.8300 0.0000
0.6700 0.1700 0.0000
0.8300 0.6700 0.0000
0.0000 0.0000 0.0000
0.5000 0.5000 0.0000
0.1323 0.6323 0.0000
0.3677 0.1323 0.0000
0.6323 0.8677 0.0000
0.8677 0.3677 0.0000
0.0000 0.5000 0.5000
0.0622 0.8014 0.5000
0.1986 0.0622 0.5000
0.3014 0.5622 0.5000
0.4378 0.3014 0.5000
0.5000 0.0000 0.5000
0.5622 0.6986 0.5000
0.6986 0.4378 0.5000
0.8014 0.9378 0.5000
0.9378 0.1986 0.5000
```

---

7.
Structure and simulated powder XRD pattern of PmIn2Se4 (a cell relaxed with PBE; Cu Kα (λ = 1.5418 Å)).

Principal peaks in the range 2θ = 15–90°, by angle:
2θ 19.87, I = 14.9
2θ 24.76, I = 100.0
2θ 35.81, I = 8.2
2θ 40.38, I = 53.0
2θ 42.17, I = 22.9
2θ 46.33, I = 18.1
2θ 49.52, I = 28.5
2θ 64.43, I = 12.7
2θ 72.18, I = 9.1
2θ 75.88, I = 14.8

Crystal structure
```
PmIn2Se4
1.0
6.0604 0.0000 0.0000
0.0000 6.0604 0.0000
0.0000 0.0000 6.6111
Pm In Se
1 2 4
Direct
0.0000 0.0000 0.0000
0.0000 0.5000 0.5000
0.5000 0.0000 0.5000
0.2678 0.2678 0.2515
0.2678 0.7322 0.7485
0.7322 0.2678 0.7485
0.7322 0.7322 0.2515
```

---

8.
Structure and simulated powder XRD pattern of PrSm2IO8 (a cell relaxed with PBE; Cu Kα (λ = 1.5418 Å)).

Principal peaks in the range 2θ = 15–90°, by angle:
2θ 24.44, I = 100.0
2θ 30.67, I = 90.5
2θ 34.83, I = 25.5
2θ 47.08, I = 69.1
2θ 50.08, I = 16.6
2θ 56.48, I = 16.5
2θ 58.00, I = 17.6
2θ 59.88, I = 19.7
2θ 71.18, I = 15.7
2θ 81.75, I = 12.9

Crystal structure
```
PrSm2IO8
1.0
3.6410 -3.6447 0.0000
3.6410 3.6447 0.0000
0.0000 0.0000 7.0695
Pr Sm I O
1 2 1 8
Direct
0.0000 0.0000 0.0000
0.5000 0.5000 0.2518
0.5000 0.5000 0.7482
0.0000 0.0000 0.5000
0.1794 0.1794 0.3007
0.1794 0.1794 0.6993
0.2607 0.7393 0.5000
0.3147 0.6853 0.0000
0.6853 0.3147 0.0000
0.7393 0.2607 0.5000
0.8206 0.8206 0.3007
0.8206 0.8206 0.6993
```